Record 1
Starting from a structure optimized by DFT (GGA-PBE), the powder diffractogram of RbMg14BO15 was calculated for CuKα.

Crystal structure
a b c (Å): 4.524 8.269 8.923
angles (deg): 90.00 90.00 90.00
Positions (direct):
Rb1 0.000 0.000 0.000
Mg1 0.000 0.000 0.532
Mg2 0.000 0.243 0.290
Mg3 0.000 0.265 0.764
Mg4 0.000 0.500 0.531
Mg5 0.000 0.735 0.764
Mg6 0.000 0.757 0.290
Mg7 0.500 0.000 0.288
Mg8 0.500 0.000 0.760
Mg9 0.500 0.254 0.525
Mg10 0.500 0.260 0.045
Mg11 0.500 0.500 0.283
Mg12 0.500 0.500 0.807
Mg13 0.500 0.740 0.045
Mg14 0.500 0.746 0.525
B1 0.000 0.500 0.104
O1 0.000 0.000 0.305
O2 0.000 0.256 0.524
O3 0.000 0.334 0.052
O4 0.000 0.500 0.271
O5 0.000 0.500 0.755
O6 0.000 0.666 0.052
O7 0.000 0.744 0.524
O8 0.500 0.000 0.064
O9 0.500 0.000 0.529
O10 0.500 0.250 0.793
O11 0.500 0.253 0.287
O12 0.500 0.500 0.049
O13 0.500 0.500 0.520
O14 0.500 0.747 0.287
O15 0.500 0.750 0.793

Most intense lines, 2θ = 10–90°, by angle:
(0 1 2), 22.65 deg, I 12
(1 1 1), 24.55 deg, I 15
(1 1 2), 30.13 deg, I 23
(1 2 2), 35.64 deg, I 52
(2 0 0), 39.85 deg, I 100
(0 0 4), 40.44 deg, I 76
(0 4 0), 43.79 deg, I 63
(2 0 4), 58.07 deg, I 48
(2 4 0), 60.69 deg, I 42
(0 4 4), 61.12 deg, I 33
(3 2 2), 69.63 deg, I 11
(2 4 4), 75.48 deg, I 33


Record 2
Starting from a structure optimized by DFT (GGA-PBE), the powder diffractogram of RbMg14BO15 was calculated for CuKα.

Crystal structure
a b c (Å): 4.159 8.468 10.219
angles (deg): 90.00 90.00 90.00
Positions (direct):
Rb1 0.000 0.000 0.000
Mg1 0.000 0.000 0.465
Mg2 0.000 0.241 0.674
Mg3 0.000 0.244 0.262
Mg4 0.000 0.500 0.954
Mg5 0.000 0.756 0.262
Mg6 0.000 0.759 0.674
Mg7 0.500 0.000 0.261
Mg8 0.500 0.000 0.677
Mg9 0.500 0.249 0.880
Mg10 0.500 0.254 0.456
Mg11 0.500 0.500 0.222
Mg12 0.500 0.500 0.628
Mg13 0.500 0.746 0.456
Mg14 0.500 0.751 0.880
B1 0.000 0.500 0.439
O1 0.000 0.000 0.258
O2 0.000 0.000 0.660
O3 0.000 0.244 0.459
O4 0.000 0.292 0.872
O5 0.000 0.500 0.295
O6 0.000 0.708 0.872
O7 0.000 0.756 0.459
O8 0.500 0.000 0.463
O9 0.500 0.000 0.870
O10 0.500 0.246 0.239
O11 0.500 0.270 0.670
O12 0.500 0.500 0.010
O13 0.500 0.500 0.436
O14 0.500 0.730 0.670
O15 0.500 0.754 0.239

Most intense lines, 2θ = 10–90°, by angle:
(0 1 0), 10.45 deg, I 53
(0 2 1), 22.73 deg, I 31
(0 0 3), 26.16 deg, I 27
(0 2 2), 27.36 deg, I 31
(1 1 2), 29.64 deg, I 40
(1 2 1), 31.40 deg, I 25
(1 2 2), 34.97 deg, I 57
(0 0 4), 35.13 deg, I 35
(0 4 0), 42.71 deg, I 99
(2 0 0), 43.52 deg, I 100
(0 0 5), 44.32 deg, I 39
(2 4 0), 62.62 deg, I 55


Record 3
Starting from a structure optimized by DFT (GGA-PBE), the powder diffractogram of RbMg6BO7 was calculated for CuKα.

Crystal structure
a b c (Å): 5.013 5.013 7.802
angles (deg): 90.00 90.00 90.00
Positions (direct):
Rb1 0.000 0.000 0.000
Mg1 0.000 0.500 0.254
Mg2 0.000 0.500 0.742
Mg3 0.500 0.000 0.254
Mg4 0.500 0.000 0.742
Mg5 0.500 0.500 0.003
Mg6 0.500 0.500 0.495
B1 0.000 0.000 0.499
O1 0.000 0.000 0.332
O2 0.000 0.000 0.668
O3 0.000 0.500 0.498
O4 0.000 0.500 0.998
O5 0.500 0.000 0.498
O6 0.500 0.000 0.998
O7 0.500 0.500 0.749

Most intense lines, 2θ = 10–90°, by angle:
(0 0 1), 11.34 deg, I 18
(1 0 0), 17.69 deg, I 17
(1 0 1), 21.06 deg, I 22
(1 1 1), 27.64 deg, I 13
(1 1 2), 34.18 deg, I 37
(2 0 0), 35.82 deg, I 100
(1 0 3), 39.02 deg, I 15
(0 0 4), 46.56 deg, I 17
(2 2 0), 51.56 deg, I 31
(2 0 4), 60.11 deg, I 29
(3 1 2), 63.32 deg, I 15
(2 2 4), 71.99 deg, I 16


Record 4
Starting from a structure optimized by DFT (GGA-PBE), the powder diffractogram of RbMg6BO8 was calculated for CuKα.

Crystal structure
a b c (Å): 4.877 4.877 7.883
angles (deg): 90.00 90.00 90.00
Positions (direct):
Rb1 0.000 0.000 0.000
Mg1 0.000 0.500 0.257
Mg2 0.000 0.500 0.743
Mg3 0.500 0.000 0.257
Mg4 0.500 0.000 0.743
Mg5 0.500 0.500 0.000
Mg6 0.500 0.500 0.500
B1 0.000 0.000 0.500
O1 0.000 0.000 0.332
O2 0.000 0.000 0.668
O3 0.000 0.500 0.000
O4 0.000 0.500 0.500
O5 0.500 0.000 0.000
O6 0.500 0.000 0.500
O7 0.500 0.500 0.250
O8 0.500 0.500 0.750

Most intense lines, 2θ = 10–90°, by angle:
(0 0 1), 11.23 deg, I 16
(1 0 1), 21.43 deg, I 19
(1 1 1), 28.25 deg, I 12
(1 1 2), 34.56 deg, I 28
(2 0 0), 36.86 deg, I 100
(1 0 3), 38.94 deg, I 15
(0 0 4), 46.06 deg, I 19
(2 2 0), 53.12 deg, I 31
(2 0 4), 60.40 deg, I 31
(3 1 2), 64.93 deg, I 12
(2 2 4), 72.90 deg, I 17
(4 2 0), 89.98 deg, I 11


Record 5
Starting from a structure optimized by DFT (GGA-PBE), the powder diffractogram of RbMg6BO8 was calculated for CuKα.

Crystal structure
a b c (Å): 4.622 4.622 8.618
angles (deg): 90.00 90.00 90.00
Positions (direct):
Rb1 0.000 0.000 0.000
Mg1 0.000 0.000 0.500
Mg2 0.000 0.500 0.233
Mg3 0.000 0.500 0.767
Mg4 0.500 0.000 0.233
Mg5 0.500 0.000 0.767
Mg6 0.500 0.500 0.500
B1 0.500 0.500 0.000
O1 0.000 0.000 0.281
O2 0.000 0.000 0.719
O3 0.000 0.500 0.000
O4 0.000 0.500 0.500
O5 0.500 0.000 0.000
O6 0.500 0.000 0.500
O7 0.500 0.500 0.165
O8 0.500 0.500 0.835

Most intense lines, 2θ = 10–90°, by angle:
(0 0 1), 10.26 deg, I 39
(1 0 0), 19.20 deg, I 25
(1 0 1), 21.82 deg, I 17
(1 0 2), 28.32 deg, I 13
(1 1 2), 34.44 deg, I 35
(1 0 3), 36.84 deg, I 28
(2 0 0), 38.98 deg, I 100
(0 0 4), 41.92 deg, I 31
(2 1 3), 54.71 deg, I 15
(2 2 0), 56.30 deg, I 30
(2 0 4), 58.58 deg, I 36
(2 2 4), 72.61 deg, I 20